[1]
Starting from a cell relaxed with GGA-PBE, the X-ray powder pattern of PrZn6Ni2 was computed for CuKα.

The 6 most intense peaks (15 to 90 degrees two-theta), low angle first:
d (Å)	I/Imax
3.423	66
2.838	56
2.185	20
2.007	100
1.478	26
1.159	24

Crystal structure
abc: 11.354 11.354 11.354
angles: 90.00 90.00 90.00
Space group Fd-3m (No. 227, origin choice 2)
Unique sites:
Pr1 0.125 0.125 0.125 x8
Zn1 0.103 0.375 0.875 x48
Ni1 0.000 0.000 0.500 x16



[2]
Starting from a cell relaxed with GGA-PBE, the X-ray powder pattern of Pr3Zn8Ni3 was computed for CuKα.

The 6 most intense peaks (15 to 90 degrees two-theta), low angle first:
d (Å)	I/Imax
3.001	26
2.534	100
2.517	25
2.172	15
2.146	31
1.974	18

Crystal structure
abc: 4.293 9.438 12.587
angles: 90.00 90.00 90.00
Space group Immm (No. 71)
Unique sites:
Pr1 0.000 0.000 0.000 x2
Pr2 0.000 0.000 0.321 x4
Zn1 0.000 0.285 0.114 x8
Zn2 0.000 0.356 0.331 x8
Ni1 0.000 0.212 0.500 x4
Ni2 0.000 0.500 0.000 x2



[3]
Starting from a cell relaxed with GGA-PBE, the X-ray powder pattern of PrZnNi was computed for CuKα.

The 6 most intense peaks (15 to 90 degrees two-theta), low angle first:
d (Å)	I/Imax
2.670	100
2.652	32
2.596	35
2.465	56
2.446	71
1.963	39

Crystal structure
abc: 12.669 3.926 7.193
angles: 90.00 90.00 90.00
Space group Pmma (No. 51)
Unique sites:
Pr1 0.042 0.000 0.244 x4
Pr2 0.250 0.000 0.622 x2
Zn1 0.140 0.500 0.920 x4
Zn2 0.250 0.500 0.275 x2
Ni1 0.092 0.500 0.548 x4
Ni2 0.250 0.000 0.048 x2



[4]
Starting from a cell relaxed with GGA-PBE, the X-ray powder pattern of PrZn2Ni10 was computed for CuKα.

The 6 most intense peaks (15 to 90 degrees two-theta), low angle first:
d (Å)	I/Imax
2.947	31
2.409	37
2.091	100
2.084	43
2.076	69
1.859	34

Crystal structure
abc: 4.782 11.808 11.850
angles: 90.00 90.00 90.00
Space group Fmmm (No. 69)
Unique sites:
Pr1 0.000 0.000 0.000 x4
Zn1 0.250 0.000 0.250 x8
Ni1 0.000 0.117 0.386 x16
Ni2 0.000 0.181 0.176 x16
Ni3 0.250 0.250 0.000 x8